Record 1
Simulated powder diffractogram of KPrF4 for Cu Ka, from DFT lattice parameters and positions (PBE).
Lines closer than 0.1° are merged.

The 10 most intense peaks (5 to 70 degrees two-theta), in order of rising 2θ:
11.17°, rel. 90
17.95°, rel. 72
26.55°, rel. 85
27.91°, rel. 100
28.24°, rel. 34
28.89°, rel. 49
36.90°, rel. 42
40.84°, rel. 73
47.09°, rel. 33
48.97°, rel. 71

Crystal structure
a = 6.3204 Å, b = 3.8108 Å, c = 15.8474 Å
α = 90.00°, β = 90.00°, γ = 90.00°
Fractional positions:
K 0.2207 0.2500 0.2026
K 0.2793 0.7500 0.7026
K 0.7207 0.2500 0.2974
K 0.7793 0.7500 0.7974
Pr 0.2486 0.7500 0.4390
Pr 0.2514 0.2500 0.9390
Pr 0.7486 0.7500 0.0610
Pr 0.7514 0.2500 0.5610
F 0.0058 0.2500 0.0584
F 0.0911 0.2500 0.8065
F 0.1034 0.2500 0.3653
F 0.1350 0.2500 0.5357
F 0.3650 0.7500 0.0357
F 0.3966 0.7500 0.8653
F 0.4089 0.7500 0.3065
F 0.4942 0.7500 0.5584
F 0.5058 0.2500 0.4416
F 0.5911 0.2500 0.6935
F 0.6034 0.2500 0.1347
F 0.6350 0.2500 0.9643
F 0.8650 0.7500 0.4643
F 0.8966 0.7500 0.6347
F 0.9089 0.7500 0.1935
F 0.9942 0.7500 0.9416

***

Record 2
Simulated powder diffractogram of KPt2F11 for Cu Ka, from DFT lattice parameters and positions (PBE).
Lines closer than 0.1° are merged.

The 10 most intense peaks (5 to 70 degrees two-theta), in order of rising 2θ:
13.07°, rel. 11
16.12°, rel. 45
20.81°, rel. 24
22.28°, rel. 100
29.40°, rel. 8
32.14°, rel. 25
43.33°, rel. 16
46.40°, rel. 12
57.77°, rel. 8
67.63°, rel. 7

Crystal structure
a = 8.7240 Å, b = 8.7240 Å, c = 8.7240 Å
α = 113.72°, β = 113.12°, γ = 101.83°
Fractional positions:
K 0.2500 0.2500 0.0000
K 0.7500 0.7500 0.0000
Pt 0.1525 0.6480 0.8005
Pt 0.3475 0.1480 0.4955
Pt 0.6525 0.8520 0.5045
Pt 0.8475 0.3520 0.1995
F 0.0000 0.5000 0.5000
F 0.0684 0.3724 0.1940
F 0.1257 0.9225 0.2948
F 0.1277 0.4225 0.7968
F 0.1784 0.8744 0.8060
F 0.2054 0.2849 0.4902
F 0.2946 0.7849 0.0795
F 0.3216 0.1276 0.6960
F 0.3723 0.1691 0.2948
F 0.3743 0.6691 0.7968
F 0.4316 0.6256 0.3040
F 0.5000 0.0000 0.5000
F 0.5684 0.3744 0.6960
F 0.6257 0.3309 0.2032
F 0.6277 0.8309 0.7052
F 0.6784 0.8724 0.3040
F 0.7054 0.2151 0.9205
F 0.7946 0.7151 0.5098
F 0.8216 0.1256 0.1940
F 0.8723 0.5775 0.2032
F 0.8743 0.0775 0.7052
F 0.9316 0.6276 0.8060

***

Record 3
Simulated powder diffractogram of K2PtF6 for Cu Ka, from DFT lattice parameters and positions (PBE).
Lines closer than 0.1° are merged.

The 10 most intense peaks (5 to 70 degrees two-theta), in order of rising 2θ:
16.96°, rel. 100
17.42°, rel. 42
18.59°, rel. 45
19.79°, rel. 31
26.75°, rel. 18
28.32°, rel. 32
29.81°, rel. 29
32.11°, rel. 18
33.53°, rel. 22
40.20°, rel. 18

Crystal structure
a = 6.0809 Å, b = 6.6644 Å, c = 10.0674 Å
α = 90.00°, β = 123.18°, γ = 90.00°
Fractional positions:
K 0.2248 0.0726 0.2539
K 0.2248 0.4274 0.7539
K 0.7752 0.5726 0.2461
K 0.7752 0.9274 0.7461
Pt 0.5000 0.0000 0.0000
Pt 0.5000 0.5000 0.5000
F 0.1908 0.1525 0.9621
F 0.1908 0.3475 0.4621
F 0.3011 0.7459 0.9479
F 0.3011 0.7541 0.4479
F 0.3726 0.0365 0.7743
F 0.3726 0.4635 0.2743
F 0.6274 0.5365 0.7257
F 0.6274 0.9635 0.2257
F 0.6989 0.2459 0.5521
F 0.6989 0.2541 0.0521
F 0.8092 0.6525 0.5379
F 0.8092 0.8475 0.0379

***

Record 4
Simulated powder diffractogram of KPuF6 for Cu Ka, from DFT lattice parameters and positions (PBE).
Lines closer than 0.1° are merged.

The 10 most intense peaks (5 to 70 degrees two-theta), in order of rising 2θ:
15.34°, rel. 31
17.26°, rel. 81
23.17°, rel. 100
30.12°, rel. 19
33.97°, rel. 23
35.66°, rel. 18
38.34°, rel. 25
43.75°, rel. 29
49.51°, rel. 26
57.16°, rel. 14

Crystal structure
a = 5.9337 Å, b = 5.9337 Å, c = 11.5507 Å
α = 90.00°, β = 90.00°, γ = 120.00°
Fractional positions:
K 0.3333 0.6667 0.2500
K 0.6667 0.3333 0.7500
Pu 0.0000 0.0000 0.0000
Pu 0.0000 0.0000 0.5000
F 0.0134 0.2894 0.1051
F 0.0134 0.7240 0.3949
F 0.2760 0.2894 0.3949
F 0.2760 0.9866 0.1051
F 0.2894 0.0134 0.6051
F 0.2894 0.2760 0.8949
F 0.7106 0.7240 0.1051
F 0.7106 0.9866 0.3949
F 0.7240 0.0134 0.8949
F 0.7240 0.7106 0.6051
F 0.9866 0.2760 0.6051
F 0.9866 0.7106 0.8949

***

Record 5
Simulated powder diffractogram of K2SrPuF8 for Cu Ka, from DFT lattice parameters and positions (PBE).
Lines closer than 0.1° are merged.

The 10 most intense peaks (5 to 70 degrees two-theta), in order of rising 2θ:
16.76°, rel. 82
26.24°, rel. 100
27.74°, rel. 16
29.96°, rel. 14
34.52°, rel. 19
41.29°, rel. 17
42.88°, rel. 23
43.83°, rel. 44
50.97°, rel. 32
52.65°, rel. 24

Crystal structure
a = 7.1121 Å, b = 7.1121 Å, c = 7.1121 Å
α = 130.41°, β = 130.41°, γ = 72.75°
Fractional positions:
K 0.0000 0.0000 0.0000
K 0.7500 0.2500 0.5000
Sr 0.5000 0.5000 0.0000
Pu 0.2500 0.7500 0.5000
F 0.1550 0.0958 0.5162
F 0.1550 0.6388 0.0591
F 0.3612 0.4203 0.5162
F 0.3612 0.8450 0.9409
F 0.5797 0.0958 0.9409
F 0.5797 0.6388 0.4838
F 0.9042 0.4203 0.0591
F 0.9042 0.8450 0.4838

***

Record 6
Simulated powder diffractogram of K5RbF6 for Cu Ka, from DFT lattice parameters and positions (PBE).
Lines closer than 0.1° are merged.

The 10 most intense peaks (5 to 70 degrees two-theta), in order of rising 2θ:
14.04°, rel. 2
15.99°, rel. 4
17.94°, rel. 3
28.29°, rel. 34
32.78°, rel. 100
47.03°, rel. 64
55.79°, rel. 13
55.82°, rel. 2
58.51°, rel. 20
68.71°, rel. 9

Crystal structure
a = 6.6924 Å, b = 6.6924 Å, c = 6.6939 Å
α = 99.62°, β = 99.62°, γ = 119.98°
Fractional positions:
K 0.0000 0.0000 0.0000
K 0.1665 0.8335 0.5000
K 0.3328 0.6672 0.0000
K 0.6672 0.3328 0.0000
K 0.8335 0.1665 0.5000
Rb 0.5000 0.5000 0.5000
F 0.0744 0.4156 0.2468
F 0.2441 0.2441 0.7560
F 0.4156 0.0744 0.2468
F 0.5844 0.9256 0.7532
F 0.7559 0.7559 0.2440
F 0.9256 0.5844 0.7532

***

Record 7
Simulated powder diffractogram of KRbF2 for Cu Ka, from DFT lattice parameters and positions (PBE).
Lines closer than 0.1° are merged.

The 10 most intense peaks (5 to 70 degrees two-theta), in order of rising 2θ:
18.70°, rel. 14
26.53°, rel. 36
32.62°, rel. 8
37.88°, rel. 100
46.84°, rel. 10
54.53°, rel. 5
54.70°, rel. 10
61.80°, rel. 9
68.34°, rel. 10
68.45°, rel. 20

Crystal structure
a = 4.7462 Å, b = 4.7462 Å, c = 3.3655 Å
α = 90.00°, β = 90.00°, γ = 90.00°
Fractional positions:
K 0.0000 0.0000 0.0000
Rb 0.5000 0.5000 0.0000
F 0.0000 0.5000 0.5000
F 0.5000 0.0000 0.5000

***

Record 8
Simulated powder diffractogram of K2RbF for Cu Ka, from DFT lattice parameters and positions (PBE).
Lines closer than 0.1° are merged.

The 10 most intense peaks (5 to 70 degrees two-theta), in order of rising 2θ:
15.07°, rel. 65
22.70°, rel. 35
24.33°, rel. 87
24.72°, rel. 62
30.08°, rel. 49
31.68°, rel. 100
35.26°, rel. 24
42.57°, rel. 41
48.13°, rel. 28
48.77°, rel. 25

Crystal structure
a = 4.2475 Å, b = 4.2475 Å, c = 35.2626 Å
α = 90.00°, β = 90.00°, γ = 120.00°
Fractional positions:
K 0.0000 0.0000 0.1247
K 0.0000 0.0000 0.8753
K 0.3333 0.6667 0.5420
K 0.3333 0.6667 0.7914
K 0.6667 0.3333 0.2086
K 0.6667 0.3333 0.4580
Rb 0.0000 0.0000 0.0000
Rb 0.3333 0.6667 0.6667
Rb 0.6667 0.3333 0.3333
F 0.0000 0.0000 0.5000
F 0.3333 0.6667 0.1667
F 0.6667 0.3333 0.8333